For SiPIrO, a DFT-relaxed cell (PBE, OQMD) gives the simulated powder X-ray diffraction pattern in this record (Cu Kα (weighted mean of Kα1 and Kα2)).
Kinematic intensities with the Lorentz-polarization factor, no thermal factor.

Peak list (10 most intense, 2θ = 15–90°, by angle)
| 2θ/deg | I/Imax | index |
| --- | --- | --- |
| 27.1 | 27 | 0 2 0 |
| 30.6 | 68 | 0 0 2 |
| 33.5 | 100 | 1 1 0 |
| 41.1 | 17 | 0 3 0 |
| 41.3 | 45 | 1 2 0 |
| 43.8 | 20 | 1 0 2 |
| 46.0 | 40 | 1 1 2 |
| 52.1 | 27 | 0 3 2 |
| 52.2 | 31 | 1 2 2 |
| 73.8 | 19 | 2 1 2 |

Structure:
```
data_SiPIrO
_symmetry_space_group_name_H-M 'P 1'
_symmetry_Int_Tables_number 1
_cell_length_a 2.926
_cell_length_b 6.581
_cell_length_c 5.849
_cell_angle_alpha 90.00
_cell_angle_beta 90.00
_cell_angle_gamma 90.00
loop_
_symmetry_equiv_pos_as_xyz
'x,y,z'
loop_
_atom_site_label
_atom_site_type_symbol
_atom_site_fract_x
_atom_site_fract_y
_atom_site_fract_z
Si1 Si 0.000 0.095 0.000
Si2 Si 0.000 0.905 0.500
P1 P 0.000 0.229 0.359
P2 P 0.000 0.771 0.859
Ir1 Ir 0.500 0.479 0.384
Ir2 Ir 0.500 0.521 0.884
O1 O 0.500 0.179 0.871
O2 O 0.500 0.821 0.371
```

For PrGdPt2, a DFT-relaxed cell (PBE, OQMD) gives the simulated powder X-ray diffraction pattern in this record (Cu Kα (weighted mean of Kα1 and Kα2)).
Kinematic intensities with the Lorentz-polarization factor, no thermal factor.

Peak list (10 most intense, 2θ = 15–90°, by angle)
| 2θ/deg | I/Imax | index |
| --- | --- | --- |
| 19.9 | 14 | 0 1 1 |
| 31.4 | 49 | 1 2 0 |
| 33.9 | 30 | 0 1 2 |
| 35.3 | 71 | 1 2 1 |
| 39.3 | 100 | 2 0 0 |
| 40.5 | 15 | 0 3 1 |
| 52.9 | 33 | 0 4 1 |
| 65.9 | 13 | 0 0 4 |
| 67.8 | 15 | 2 4 1 |
| 71.2 | 12 | 3 1 2 |

Structure:
```
data_PrGdPt2
_symmetry_space_group_name_H-M 'P 1'
_symmetry_Int_Tables_number 1
_cell_length_a 4.588
_cell_length_b 7.269
_cell_length_c 5.673
_cell_angle_alpha 90.00
_cell_angle_beta 90.00
_cell_angle_gamma 90.00
loop_
_symmetry_equiv_pos_as_xyz
'x,y,z'
loop_
_atom_site_label
_atom_site_type_symbol
_atom_site_fract_x
_atom_site_fract_y
_atom_site_fract_z
Pr1 Pr 0.000 0.069 0.000
Pr2 Pr 0.500 0.931 0.500
Gd1 Gd 0.000 0.566 0.780
Gd2 Gd 0.500 0.434 0.280
Pt1 Pt 0.000 0.219 0.485
Pt2 Pt 0.000 0.693 0.294
Pt3 Pt 0.500 0.307 0.794
Pt4 Pt 0.500 0.781 0.985
```

For Li2TaAl2Os2W, a DFT-relaxed cell (PBE, OQMD) gives the simulated powder X-ray diffraction pattern in this record (Cu Kα (weighted mean of Kα1 and Kα2)).
Kinematic intensities with the Lorentz-polarization factor, no thermal factor.

Peak list (7 most intense, 2θ = 15–90°, by angle)
| 2θ/deg | I/Imax | index |
| --- | --- | --- |
| 25.2 | 88 | 1 0 1 |
| 41.8 | 100 | 2 0 0 |
| 49.4 | 44 | 2 1 1 |
| 60.6 | 17 | 2 2 0 |
| 66.7 | 18 | 3 0 1 |
| 76.3 | 34 | 3 1 2 |
| 81.8 | 14 | 3 2 1 |

Structure:
```
data_Li2TaAl2Os2W
_symmetry_space_group_name_H-M 'P 1'
_symmetry_Int_Tables_number 1
_cell_length_a 4.325
_cell_length_b 4.325
_cell_length_c 6.115
_cell_angle_alpha 90.00
_cell_angle_beta 90.00
_cell_angle_gamma 90.00
loop_
_symmetry_equiv_pos_as_xyz
'x,y,z'
loop_
_atom_site_label
_atom_site_type_symbol
_atom_site_fract_x
_atom_site_fract_y
_atom_site_fract_z
Li1 Li 0.000 0.500 0.249
Li2 Li 0.500 0.000 0.751
Ta1 Ta 0.000 0.000 0.500
Al1 Al 0.000 0.000 0.000
Al2 Al 0.500 0.500 0.500
Os1 Os 0.000 0.500 0.758
Os2 Os 0.500 0.000 0.242
W1 W 0.500 0.500 0.000
```